# 1
This entry pairs a crystal structure of Zr2Sc4Ni3N3 with its calculated XRD peak list. Radiation: Cu Ka. Structure: a structure optimized by DFT (GGA-PBE).

Cell and atoms:
```
Zr2Sc4Ni3N3
1.0
4.7285 -2.7314 0.0000
4.7285 2.7314 0.0000
-3.2158 0.0000 13.1491
Zr Sc Ni N
4 8 6 6
Cartesian
2.3367 2.2778 8.0236
2.2966 2.2778 11.7001
3.9446 -2.2778 1.4490
3.9045 -2.2778 5.1255
2.3630 0.4532 1.2044
2.3312 0.4597 5.3697
0.7551 -0.4532 7.7790
0.7233 -0.4597 11.9442
5.5179 0.4597 1.2049
5.4861 0.4532 5.3701
3.9100 -0.4597 7.7795
3.8782 -0.4532 11.9447
-0.1191 0.8610 9.8575
1.4888 -0.8610 3.2830
3.9245 0.4027 3.2873
2.3167 -0.4027 9.8618
4.7524 0.8610 9.8662
6.3603 -0.8610 3.2916
0.7564 1.3657 6.5746
3.9661 1.4079 0.0000
3.8830 1.4079 6.5746
2.3642 -1.3657 0.0000
2.3582 -1.4079 6.5746
5.4909 -1.4079 0.0000
```

Main lines, sorted by position (5° ≤ 2θ ≤ 70°):
2theta, d (Å), I_rel
33.52, 2.674, 25
38.11, 2.361, 25
38.82, 2.320, 100
38.94, 2.313, 49
41.19, 2.191, 31
69.18, 1.358, 23



# 2
This entry pairs a crystal structure of Ta4TlNiN2 with its calculated XRD peak list. Radiation: Cu Ka. Structure: a structure optimized by DFT (GGA-PBE).

Cell and atoms:
```
Ta4TlNiN2
1.0
3.1508 0.0000 0.0000
-1.5754 2.7287 0.0000
0.0000 0.0000 13.4929
Ta Tl Ni N
4 1 1 2
Cartesian
0.0000 0.0000 1.9120
0.0000 0.0000 11.5809
0.0000 1.8191 4.2869
0.0000 1.8191 9.2060
0.0000 0.0000 6.7464
0.0000 1.8191 0.0000
1.5754 0.9096 3.0873
1.5754 0.9096 10.4056
```

Main lines, sorted by position (5° ≤ 2θ ≤ 70°):
2theta, d (Å), I_rel
32.82, 2.729, 27
35.49, 2.530, 13
38.59, 2.333, 100
40.10, 2.249, 13
58.60, 1.575, 24
65.01, 1.435, 14



# 3
This entry pairs a crystal structure of NiW2N with its calculated XRD peak list. Radiation: Cu Ka. Structure: a structure optimized by DFT (GGA-PBE).

Cell and atoms:
```
NiW2N
1.0
2.7929 0.0000 0.0000
-1.3965 2.4187 0.0000
0.0000 0.0000 14.3531
Ni W N
2 4 2
Cartesian
0.0000 1.6125 3.5883
1.3965 0.8062 10.7648
0.0000 1.6125 8.6365
0.0000 1.6125 12.8931
1.3965 0.8062 1.4600
1.3965 0.8062 5.7166
0.0000 0.0000 0.0000
0.0000 0.0000 7.1765
```

Main lines, sorted by position (5° ≤ 2θ ≤ 70°):
2theta, d (Å), I_rel
24.81, 3.588, 26
37.17, 2.419, 23
37.60, 2.392, 20
41.85, 2.159, 100
59.06, 1.564, 19
67.02, 1.396, 19



# 4
This entry pairs a crystal structure of NiW4N3 with its calculated XRD peak list. Radiation: Cu Ka. Structure: a structure optimized by DFT (GGA-PBE).

Cell and atoms:
```
NiW4N3
1.0
2.8040 0.0000 0.0000
-1.4020 2.4284 0.0000
0.0000 0.0000 26.2346
Ni W N
2 8 6
Cartesian
0.0000 1.6189 6.5586
1.4020 0.8095 19.6759
0.0000 0.0000 4.4521
0.0000 0.0000 8.6652
0.0000 0.0000 17.5694
0.0000 0.0000 21.7825
0.0000 1.6189 1.4955
0.0000 1.6189 11.6218
1.4020 0.8095 14.6128
1.4020 0.8095 24.7390
0.0000 0.0000 0.0000
0.0000 0.0000 13.1173
0.0000 1.6189 16.1134
0.0000 1.6189 23.2384
1.4020 0.8095 2.9961
1.4020 0.8095 10.1212
```

Main lines, sorted by position (5° ≤ 2θ ≤ 70°):
2theta, d (Å), I_rel
27.19, 3.279, 47
37.67, 2.388, 44
40.95, 2.204, 60
42.59, 2.123, 100
56.65, 1.625, 29
66.72, 1.402, 34



# 5
This entry pairs a crystal structure of Y4Zr2Ni3N3 with its calculated XRD peak list. Radiation: Cu Ka. Structure: a structure optimized by DFT (GGA-PBE).

Cell and atoms:
```
Y4Zr2Ni3N3
1.0
5.2752 -2.8881 0.0000
5.2752 2.8881 0.0000
-3.4788 0.0000 13.4154
Y Zr Ni N
8 4 6 6
Cartesian
0.9078 0.4135 1.4398
0.9094 0.4621 5.2580
-0.8315 -0.4135 8.1475
-0.8300 -0.4621 11.9657
7.9017 0.4621 1.4497
7.9032 0.4135 5.2679
6.1623 -0.4621 8.1574
6.1638 -0.4135 11.9756
4.3678 0.4814 1.1911
4.4432 0.4814 5.5166
2.6284 -0.4814 7.8988
2.7038 -0.4814 12.2243
2.6661 2.0263 10.0615
1.2893 0.0533 10.0654
3.0287 -0.0533 3.3577
4.0429 0.0533 10.0577
5.7823 -0.0533 3.3500
4.4055 -2.0263 3.3538
2.6376 1.4440 0.0000
2.7134 1.3605 6.6858
6.0976 1.3605 0.0219
0.8982 -1.4440 6.7077
0.9741 -1.3605 13.3935
4.3582 -1.3605 6.7296
```

Main lines, sorted by position (5° ≤ 2θ ≤ 70°):
2theta, d (Å), I_rel
30.96, 2.888, 30
31.69, 2.823, 41
35.98, 2.496, 100
36.06, 2.491, 100
37.06, 2.426, 38
40.31, 2.237, 50



# 6
This entry pairs a crystal structure of Zr2NiN with its calculated XRD peak list. Radiation: Cu Ka. Structure: a structure optimized by DFT (GGA-PBE).

Cell and atoms:
```
Zr2NiN
1.0
4.8042 -2.7721 0.0000
4.8042 2.7721 0.0000
-3.3349 0.0000 13.4115
Zr Ni N
12 6 6
Cartesian
2.3463 2.3136 8.2309
2.2597 2.3136 11.8863
2.3778 0.4584 1.2418
2.3431 0.4838 5.4640
0.7103 -0.4584 7.9475
0.6757 -0.4838 12.1698
5.5978 0.4838 1.2417
5.5631 0.4584 5.4640
3.9303 -0.4838 7.9475
3.8957 -0.4584 12.1697
4.0137 -2.3136 1.5252
3.9272 -2.3136 5.1806
-0.1738 0.8726 10.0550
1.4937 -0.8726 3.3493
3.9705 0.4092 3.3529
2.3030 -0.4092 10.0586
4.7798 0.8726 10.0622
6.4472 -0.8726 3.3565
0.7346 1.3861 6.7057
4.0261 1.4276 0.0016
3.9148 1.4276 6.7042
2.4021 -1.3861 0.0000
2.3587 -1.4276 6.7073
2.2473 -1.4276 13.4099
```

Main lines, sorted by position (5° ≤ 2θ ≤ 70°):
2theta, d (Å), I_rel
32.96, 2.717, 49
38.04, 2.366, 100
38.20, 2.356, 99
38.34, 2.348, 95
40.35, 2.235, 58
57.57, 1.601, 44



# 7
This entry pairs a crystal structure of NpPaN4 with its calculated XRD peak list. Radiation: Cu Ka. Structure: a structure optimized by DFT (GGA-PBE).

Cell and atoms:
```
NpPaN4
1.0
1.8808 1.0859 6.0166
-1.8808 1.0859 6.0166
0.0000 -2.1717 6.0166
Np Pa N
1 1 4
Cartesian
0.0000 0.0000 0.0000
0.0000 0.0000 9.0250
0.0000 0.0000 2.1375
0.0000 0.0000 6.6552
0.0000 0.0000 11.3947
0.0000 0.0000 15.9124
```

Main lines, sorted by position (5° ≤ 2θ ≤ 70°):
2theta, d (Å), I_rel
29.14, 3.064, 100
29.70, 3.008, 32
33.94, 2.641, 52
48.40, 1.881, 31
49.12, 1.855, 29
57.82, 1.595, 31



# 8
This entry pairs a crystal structure of PrOsNO with its calculated XRD peak list. Radiation: Cu Ka. Structure: a structure optimized by DFT (GGA-PBE).

Cell and atoms:
```
PrOsNO
1.0
5.5206 0.0000 0.0000
0.0000 8.9118 0.0000
0.0000 0.0000 4.7663
Pr Os N O
4 4 4 4
Cartesian
0.0569 1.4582 0.0000
2.7034 1.4582 2.3832
2.8172 7.4536 0.0000
5.4637 7.4536 2.3832
0.6277 4.5200 0.8979
2.1326 4.5200 3.2811
3.3880 4.3918 0.8979
4.8929 4.3918 3.2811
0.6984 5.7038 4.0420
2.0619 5.7038 1.6589
3.4587 3.2080 4.0420
4.8222 3.2080 1.6589
0.4516 0.8303 2.4047
2.3087 0.8303 0.0215
3.2119 8.0815 2.4047
5.0690 8.0815 0.0215
```

Main lines, sorted by position (5° ≤ 2θ ≤ 70°):
2theta, d (Å), I_rel
9.93, 8.912, 100
26.66, 3.344, 43
30.08, 2.971, 71
31.92, 2.804, 36
39.08, 2.305, 91
43.00, 2.104, 64



# 9
This entry pairs a crystal structure of ReOsNO with its calculated XRD peak list. Radiation: Cu Ka. Structure: a structure optimized by DFT (GGA-PBE).

Cell and atoms:
```
ReOsNO
1.0
2.7772 0.0000 0.0000
0.0000 5.8216 0.0000
0.0000 0.0000 5.5729
Re Os N O
2 2 2 2
Cartesian
0.0000 1.3485 0.0000
0.0000 4.4731 2.7864
1.3886 2.2301 2.1700
1.3886 3.5916 4.9564
1.3886 1.7912 4.1388
1.3886 4.0305 1.3524
0.0000 0.5511 1.9346
0.0000 5.2705 4.7210
```

Main lines, sorted by position (5° ≤ 2θ ≤ 70°):
2theta, d (Å), I_rel
15.22, 5.822, 38
22.08, 4.026, 33
32.12, 2.786, 43
34.77, 2.580, 36
35.79, 2.509, 39
39.42, 2.286, 100



# 10
This entry pairs a crystal structure of ReOsNO with its calculated XRD peak list. Radiation: Cu Ka. Structure: a structure optimized by DFT (GGA-PBE).

Cell and atoms:
```
ReOsNO
1.0
5.6224 0.0000 0.0000
0.0000 6.8437 0.0000
0.0000 0.0000 4.9082
Re Os N O
4 4 4 4
Cartesian
0.6557 0.0107 0.0000
2.1555 0.0107 2.4541
3.4669 6.8331 0.0000
4.9667 6.8331 2.4541
0.7881 4.6246 1.6508
2.0231 4.6246 4.1050
3.5992 2.2191 1.6508
4.8343 2.2191 4.1050
0.7160 1.1763 3.2549
2.0952 1.1763 0.8008
3.5272 5.6674 3.2549
4.9064 5.6674 0.8008
0.6459 3.4375 0.0193
2.1653 3.4375 2.4734
3.4571 3.4062 0.0193
4.9764 3.4062 2.4734
```

Main lines, sorted by position (5° ≤ 2θ ≤ 70°):
2theta, d (Å), I_rel
12.94, 6.844, 59
20.44, 4.344, 74
27.42, 3.253, 65
39.21, 2.298, 100
39.50, 2.281, 58
45.67, 1.986, 100



# 11
This entry pairs a crystal structure of SbOsNO with its calculated XRD peak list. Radiation: Cu Ka. Structure: a structure optimized by DFT (GGA-PBE).

Cell and atoms:
```
SbOsNO
1.0
3.0100 0.0000 0.0000
0.0000 4.6608 0.0000
0.0000 0.0000 7.2354
Sb Os N O
2 2 2 2
Cartesian
0.0000 0.3496 0.0000
0.0000 4.3112 3.6177
1.5050 2.2508 6.1086
1.5050 2.4100 2.4909
0.0000 1.1197 2.0084
0.0000 3.5411 5.6261
1.5050 1.2224 4.2170
1.5050 3.4384 0.5993
```

Main lines, sorted by position (5° ≤ 2θ ≤ 70°):
2theta, d (Å), I_rel
24.61, 3.618, 42
31.30, 2.858, 96
35.50, 2.529, 100
38.92, 2.314, 47
43.68, 2.072, 40
56.01, 1.642, 36



# 12
This entry pairs a crystal structure of TmOsNO with its calculated XRD peak list. Radiation: Cu Ka. Structure: a structure optimized by DFT (GGA-PBE).

Cell and atoms:
```
TmOsNO
1.0
5.5197 0.0000 0.0000
0.0000 8.2479 0.0000
0.0000 0.0000 4.7137
Tm Os N O
4 4 4 4
Cartesian
0.1469 1.2838 0.0000
2.6129 1.2838 2.3569
2.9068 6.9641 0.0000
5.3727 6.9641 2.3569
0.5888 4.2332 0.7539
2.1710 4.2332 3.1108
3.3486 4.0147 0.7539
4.9309 4.0147 3.1108
0.7166 5.4128 3.8635
2.0432 5.4128 1.5066
3.4764 2.8351 3.8635
4.8031 2.8351 1.5066
0.5809 0.6994 2.6083
2.1789 0.6994 0.2515
3.3408 7.5485 2.6083
4.9387 7.5485 0.2515
```

Main lines, sorted by position (5° ≤ 2θ ≤ 70°):
2theta, d (Å), I_rel
10.73, 8.248, 84
27.12, 3.287, 85
32.57, 2.749, 100
33.11, 2.705, 88
39.38, 2.288, 64
39.78, 2.266, 63